Computed powder diffractogram
Compound: Li2FeCo3O8
Radiation: λ = 1.5418 Å (Cu Kα)
Structure: a crystal structure in Alexandria, relaxed with GGA+U
Lines closer than 0.1° are merged.

Atomic structure:
```
data_Li2FeCo3O8
_chemical_formula_sum 'Li2 Fe1 Co3 O8'
_cell_length_a 5.6998
_cell_length_b 5.6998
_cell_length_c 5.6998
_cell_angle_alpha 60.27
_cell_angle_beta 60.27
_cell_angle_gamma 60.27
_space_group_name_H-M_alt 'P 1'
_space_group_IT_number 1
loop_
_space_group_symop_operation_xyz
'x,y,z'
loop_
_atom_site_label
_atom_site_fract_x
_atom_site_fract_y
_atom_site_fract_z
_atom_site_occupancy
Li1 0.1256 0.1256 0.1256 1
Li2 0.8744 0.8744 0.8744 1
Fe1 0.5000 0.5000 0.5000 1
Co1 0.0000 0.5000 0.5000 1
Co2 0.5000 0.0000 0.5000 1
Co3 0.5000 0.5000 0.0000 1
O1 0.2628 0.2627 0.7116 1
O2 0.2628 0.7116 0.2628 1
O3 0.2672 0.2672 0.2672 1
O4 0.2884 0.7372 0.7372 1
O5 0.7116 0.2628 0.2627 1
O6 0.7328 0.7328 0.7328 1
O7 0.7373 0.2884 0.7373 1
O8 0.7373 0.7372 0.2884 1
```

The 10 most intense peaks (2θ = 5–70°), sorted by position:
19.00 deg, rel. 100
19.11 deg, rel. 37
36.87 deg, rel. 47
37.01 deg, rel. 16
38.56 deg, rel. 13
44.89 deg, rel. 70
59.42 deg, rel. 20
65.20 deg, rel. 21
65.51 deg, rel. 20
68.62 deg, rel. 10